This entry pairs a crystal structure of Ho3Au with its theoretical X-ray diffraction stick pattern. Radiation: Cu Kα (λ = 1.5418 Å). Structure: a cell relaxed with PBE.
Kinematic intensities with the Lorentz-polarization factor, no thermal factor.

Top 10 peaks for 5° ≤ 2θ ≤ 70°, by intensity:
2θ/deg	I_rel
34.1	100
30.6	91
31.0	78
36.2	75
31.7	75
54.9	45
33.4	40
38.3	33
62.6	31
43.2	31

a b c (Å): 11.9875 11.9875 6.1335
angles (deg): 90.00 90.00 90.00
Space group I-4 (No. 82)
Inequivalent atoms, fractional coordinates:
1 Ho 0.0004 0.1439 0.2497 [8 per cell]
2 Ho 0.0965 0.4043 0.4912 [8 per cell]
3 Ho 0.2019 0.7027 0.5225 [8 per cell]
4 Au 0.0006 0.2073 0.7497 [8 per cell]